KNiPdBr6: simulated X-ray powder pattern (Cu Kα), based on the GGA-PBE geometry in Alexandria.
Lines closer than 0.1° are merged.

Atomic structure:
```
data_KNiPdBr6
_chemical_formula_sum 'K2 Ni2 Pd2 Br12'
_cell_length_a 6.813
_cell_length_b 11.396
_cell_length_c 7.425
_cell_angle_alpha 90.00
_cell_angle_beta 91.38
_cell_angle_gamma 90.00
_space_group_name_H-M_alt 'C 1 2 1'
_space_group_IT_number 5
_space_group_name_Hall 'C 2y'
loop_
_atom_site_label
_atom_site_fract_x
_atom_site_fract_y
_atom_site_fract_z
K1 0.000 0.000 0.000
Ni1 0.000 0.332 0.500
Pd1 0.000 0.667 0.500
Br1 0.128 0.502 0.694
Br2 0.174 0.192 0.708
Br3 0.187 0.818 0.686
```

The 8 most intense peaks (15° ≤ 2θ ≤ 90°), by intensity:
2θ (°)  Rel. int.
36.5  100
29.6  76
35.3  53
28.6  47
46.6  46
29.4  44
45.5  37
19.1  32

K3TlNi2Br9: simulated X-ray powder pattern (Cu Kα), based on the GGA-PBE geometry in Alexandria.
Lines closer than 0.1° are merged.

Atomic structure:
```
data_K3TlNi2Br9
_chemical_formula_sum 'K3 Tl1 Ni2 Br9'
_cell_length_a 7.4043
_cell_length_b 7.4043
_cell_length_c 9.7231
_cell_angle_alpha 90.00
_cell_angle_beta 90.00
_cell_angle_gamma 120.00
_space_group_name_H-M_alt 'P -3 m 1'
_space_group_IT_number 164
_space_group_name_Hall '-P 3 2"'
loop_
_atom_site_label
_atom_site_fract_x
_atom_site_fract_y
_atom_site_fract_z
K1 0.0000 0.0000 0.0000
K2 0.3333 0.6667 0.7177
Tl1 0.0000 0.0000 0.5000
Ni1 0.3333 0.6667 0.1526
Br1 0.0000 0.5000 0.0000
Br2 0.1753 0.3506 0.2959
```

The 8 most intense peaks (15° ≤ 2θ ≤ 90°), by intensity:
2θ (°)  Rel. int.
33.5  100
16.6  89
29.3  33
49.2  32
46.9  23
38.3  22
36.9  22
60.8  17

KRbNpBr6: simulated X-ray powder pattern (Cu Kα), based on the GGA-PBE geometry in Alexandria.
Lines closer than 0.1° are merged.

Atomic structure:
```
data_KRbNpBr6
_chemical_formula_sum 'K2 Rb2 Np2 Br12'
_cell_length_a 8.1339
_cell_length_b 8.1339
_cell_length_c 13.8663
_cell_angle_alpha 90.00
_cell_angle_beta 90.00
_cell_angle_gamma 120.00
_space_group_name_H-M_alt 'P -3 1 c'
_space_group_IT_number 163
_space_group_name_Hall '-P 3 2c'
loop_
_atom_site_label
_atom_site_fract_x
_atom_site_fract_y
_atom_site_fract_z
K1 0.3333 0.6667 0.2500
Rb1 0.0000 0.0000 0.0000
Np1 0.3333 0.6667 0.7500
Br1 0.0508 0.3906 0.6341
```

The 8 most intense peaks (15° ≤ 2θ ≤ 90°), by intensity:
2θ (°)  Rel. int.
25.4  100
34.0  90
18.0  70
38.3  47
36.1  30
39.0  27
52.4  26
67.1  24

KNpVBr6: simulated X-ray powder pattern (Cu Kα), based on the GGA-PBE geometry in Alexandria.
Lines closer than 0.1° are merged.

Atomic structure:
```
data_KNpVBr6
_chemical_formula_sum 'K2 Np2 V2 Br12'
_cell_length_a 7.0673
_cell_length_b 7.0673
_cell_length_c 15.0265
_cell_angle_alpha 90.00
_cell_angle_beta 90.00
_cell_angle_gamma 120.00
_space_group_name_H-M_alt 'P -3 1 c'
_space_group_IT_number 163
_space_group_name_Hall '-P 3 2c'
loop_
_atom_site_label
_atom_site_fract_x
_atom_site_fract_y
_atom_site_fract_z
K1 0.0000 0.0000 0.0000
Np1 0.3333 0.6667 0.2500
V1 0.3333 0.6667 0.7500
Br1 0.0268 0.3743 0.6433
```

The 8 most intense peaks (15° ≤ 2θ ≤ 90°), by intensity:
2θ (°)  Rel. int.
27.9  100
34.9  89
44.4  75
18.7  51
15.6  26
22.9  25
46.1  19
57.7  18

K10Br4O3: simulated X-ray powder pattern (Cu Kα), based on the GGA-PBE geometry in Alexandria.
Lines closer than 0.1° are merged.

Atomic structure:
```
data_K10Br4O3
_chemical_formula_sum 'K20 Br8 O6'
_cell_length_a 5.257
_cell_length_b 5.257
_cell_length_c 37.848
_cell_angle_alpha 90.00
_cell_angle_beta 90.00
_cell_angle_gamma 90.00
_space_group_name_H-M_alt 'I 4/m m m'
_space_group_IT_number 139
_space_group_name_Hall '-I 4 2'
loop_
_atom_site_label
_atom_site_fract_x
_atom_site_fract_y
_atom_site_fract_z
K1 0.000 0.000 0.070
K2 0.000 0.000 0.208
K3 0.000 0.500 0.000
K4 0.000 0.500 0.139
Br1 0.000 0.000 0.297
Br2 0.000 0.000 0.431
O1 0.000 0.000 0.000
O2 0.000 0.000 0.141
```

The 8 most intense peaks (15° ≤ 2θ ≤ 90°), by intensity:
2θ (°)  Rel. int.
30.6  100
34.1  74
27.9  40
48.3  38
33.1  31
58.9  29
23.9  27
23.6  26

KBr3O6: simulated X-ray powder pattern (Cu Kα), based on the GGA-PBE geometry in Alexandria.
Lines closer than 0.1° are merged.

Atomic structure:
```
data_KBr3O6
_chemical_formula_sum 'K3 Br9 O18'
_cell_length_a 12.9795
_cell_length_b 12.9795
_cell_length_c 4.3011
_cell_angle_alpha 90.00
_cell_angle_beta 90.00
_cell_angle_gamma 120.00
_space_group_name_H-M_alt 'R 3 m'
_space_group_IT_number 160
_space_group_name_Hall 'R 3 -2"'
loop_
_atom_site_label
_atom_site_fract_x
_atom_site_fract_y
_atom_site_fract_z
K1 0.0000 0.0000 0.0000
Br1 0.1744 0.3487 0.2668
O1 0.0686 0.5343 0.6041
O2 0.1713 0.0856 0.5021
```

The 8 most intense peaks (15° ≤ 2θ ≤ 90°), by intensity:
2θ (°)  Rel. int.
27.5  100
26.1  96
47.8  36
38.3  34
29.6  22
45.1  22
61.3  18
23.7  16

K2BrO4: simulated X-ray powder pattern (Cu Kα), based on the GGA-PBE geometry in Alexandria.
Lines closer than 0.1° are merged.

Atomic structure:
```
data_K2BrO4
_chemical_formula_sum 'K8 Br4 O16'
_cell_length_a 7.973
_cell_length_b 10.080
_cell_length_c 7.577
_cell_angle_alpha 90.00
_cell_angle_beta 90.00
_cell_angle_gamma 90.00
_space_group_name_H-M_alt 'F m m 2'
_space_group_IT_number 42
_space_group_name_Hall 'F 2 -2'
loop_
_atom_site_label
_atom_site_fract_x
_atom_site_fract_y
_atom_site_fract_z
K1 0.250 0.250 0.000
Br1 0.000 0.000 0.225
O1 0.000 0.183 0.252
O2 0.193 0.000 0.331
```

The 8 most intense peaks (15° ≤ 2θ ≤ 90°), by intensity:
2θ (°)  Rel. int.
18.4  100
32.6  35
29.5  32
28.5  19
35.6  15
49.1  14
48.1  13
38.4  11

K2BrO5: simulated X-ray powder pattern (Cu Kα), based on the GGA-PBE geometry in Alexandria.
Lines closer than 0.1° are merged.

Atomic structure:
```
data_K2BrO5
_chemical_formula_sum 'K4 Br2 O10'
_cell_length_a 6.163
_cell_length_b 6.163
_cell_length_c 8.050
_cell_angle_alpha 90.00
_cell_angle_beta 90.00
_cell_angle_gamma 90.00
_space_group_name_H-M_alt 'I 4 m m'
_space_group_IT_number 107
_space_group_name_Hall 'I 4 -2'
loop_
_atom_site_label
_atom_site_fract_x
_atom_site_fract_y
_atom_site_fract_z
K1 0.000 0.500 0.000
Br1 0.000 0.000 0.220
O1 0.000 0.000 0.013
O2 0.195 0.195 0.273
```

The 8 most intense peaks (15° ≤ 2θ ≤ 90°), by intensity:
2θ (°)  Rel. int.
18.1  100
30.2  53
41.4  22
29.0  21
34.4  17
52.1  15
54.9  12
36.5  10

K4Br3O2: simulated X-ray powder pattern (Cu Kα), based on the GGA-PBE geometry in Alexandria.
Lines closer than 0.1° are merged.

Atomic structure:
```
data_K4Br3O2
_chemical_formula_sum 'K16 Br12 O8'
_cell_length_a 15.559
_cell_length_b 8.854
_cell_length_c 8.570
_cell_angle_alpha 90.00
_cell_angle_beta 93.11
_cell_angle_gamma 90.00
_space_group_name_H-M_alt 'C 1 2/c 1'
_space_group_IT_number 15
_space_group_name_Hall '-C 2yc'
loop_
_atom_site_label
_atom_site_fract_x
_atom_site_fract_y
_atom_site_fract_z
K1 0.054 0.227 0.022
K2 0.223 0.433 0.302
Br1 0.000 0.478 0.750
Br2 0.132 0.108 0.392
O1 0.221 0.307 0.988
```

The 8 most intense peaks (15° ≤ 2θ ≤ 90°), by intensity:
2θ (°)  Rel. int.
25.1  100
29.0  99
19.9  97
24.1  89
30.5  85
32.0  81
30.8  73
36.2  69

KOsBrO4: simulated X-ray powder pattern (Cu Kα), based on the GGA-PBE geometry in Alexandria.
Lines closer than 0.1° are merged.

Atomic structure:
```
data_KOsBrO4
_chemical_formula_sum 'K4 Os4 Br4 O16'
_cell_length_a 11.386
_cell_length_b 7.855
_cell_length_c 9.244
_cell_angle_alpha 90.00
_cell_angle_beta 114.66
_cell_angle_gamma 90.00
_space_group_name_H-M_alt 'C 1 2/m 1'
_space_group_IT_number 12
_space_group_name_Hall '-C 2y'
loop_
_atom_site_label
_atom_site_fract_x
_atom_site_fract_y
_atom_site_fract_z
K1 0.212 0.000 0.156
Os1 0.126 0.500 0.307
Br1 0.049 0.000 0.784
O1 0.035 0.500 0.827
O2 0.142 0.500 0.501
O3 0.201 0.324 0.273
```

The 8 most intense peaks (15° ≤ 2θ ≤ 90°), by intensity:
2θ (°)  Rel. int.
19.7  100
22.6  99
26.1  94
21.2  74
15.9  58
22.3  42
31.2  35
31.0  34

K2PbBrO2: simulated X-ray powder pattern (Cu Kα), based on the GGA-PBE geometry in Alexandria.
Lines closer than 0.1° are merged.

Atomic structure:
```
data_K2PbBrO2
_chemical_formula_sum 'K2 Pb1 Br1 O2'
_cell_length_a 4.520
_cell_length_b 4.520
_cell_length_c 7.077
_cell_angle_alpha 90.00
_cell_angle_beta 90.00
_cell_angle_gamma 90.00
_space_group_name_H-M_alt 'P 4/m m m'
_space_group_IT_number 123
_space_group_name_Hall '-P 4 2'
loop_
_atom_site_label
_atom_site_fract_x
_atom_site_fract_y
_atom_site_fract_z
K1 0.000 0.000 0.243
Pb1 0.500 0.500 0.000
Br1 0.500 0.500 0.500
O1 0.000 0.500 0.000
```

The 8 most intense peaks (15° ≤ 2θ ≤ 90°), by intensity:
2θ (°)  Rel. int.
32.1  100
27.9  59
52.1  50
19.6  49
39.9  32
23.4  22
25.2  19
37.9  14

K2Rb5Br3O2: simulated X-ray powder pattern (Cu Kα), based on the GGA-PBE geometry in Alexandria.
Lines closer than 0.1° are merged.

Atomic structure:
```
data_K2Rb5Br3O2
_chemical_formula_sum 'K4 Rb10 Br6 O4'
_cell_length_a 5.563
_cell_length_b 5.563
_cell_length_c 27.647
_cell_angle_alpha 90.00
_cell_angle_beta 90.00
_cell_angle_gamma 90.00
_space_group_name_H-M_alt 'I 4/m m m'
_space_group_IT_number 139
_space_group_name_Hall '-I 4 2'
loop_
_atom_site_label
_atom_site_fract_x
_atom_site_fract_y
_atom_site_fract_z
K1 0.000 0.000 0.194
Rb1 0.000 0.000 0.000
Rb2 0.000 0.500 0.099
Br1 0.000 0.000 0.314
Br2 0.000 0.000 0.500
O1 0.000 0.000 0.102
```

The 8 most intense peaks (15° ≤ 2θ ≤ 90°), by intensity:
2θ (°)  Rel. int.
29.9  100
32.2  73
26.1  71
46.3  42
56.0  33
32.4  30
46.2  26
57.5  22